Starting from DFT lattice parameters and positions (GGA-PBE), the powder diffraction line list of Ca3Pu3SnN8 was computed for a wavelength of 1.5418 Å.
Peak positions follow from Bragg's law for the DFT cell and can differ from measured ones.

Crystal structure
```
data_Ca3Pu3SnN8
_chemical_formula_sum 'Ca9 Pu9 Sn3 N24'
_cell_length_a 6.8145
_cell_length_b 6.8145
_cell_length_c 17.0877
_cell_angle_alpha 90.00
_cell_angle_beta 90.00
_cell_angle_gamma 120.00
_symmetry_space_group_name_H-M 'R -3 m'
_symmetry_Int_Tables_number 166
_symmetry_space_group_name_Hall '-R 3 2"'
loop_
_atom_site_label
_atom_site_type_symbol
_atom_site_fract_x
_atom_site_fract_y
_atom_site_fract_z
Ca1 Ca 0.0000 0.5000 0.0000
Pu1 Pu 0.0000 0.5000 0.5000
Sn1 Sn 0.0000 0.0000 0.5000
N1 N 0.0000 0.0000 0.2398
N2 N 0.0026 0.5013 0.2349
```

Top 12 peaks for 2θ = 10–90°, low angle first:
- 2θ = 15.6°, I = 1000
- 2θ = 30.7°, I = 543
- 2θ = 31.4°, I = 267
- 2θ = 32.1°, I = 735
- 2θ = 37.0°, I = 786
- 2θ = 40.4°, I = 244
- 2θ = 48.4°, I = 195
- 2θ = 52.9°, I = 268
- 2θ = 53.8°, I = 265
- 2θ = 56.4°, I = 233
- 2θ = 63.6°, I = 232
- 2θ = 67.1°, I = 133